Structure and simulated powder diffraction line list of Li2PaCoO6 (DFT lattice parameters and positions (PBE+U); Cu Kα, 1.54184 Å).

```
data_Li2PaCoO6
_space_group_name_H-M_alt 'P 1'
_space_group_IT_number 1
_cell_length_a 5.1998
_cell_length_b 5.2153
_cell_length_c 5.4968
_cell_angle_alpha 62.73
_cell_angle_beta 62.85
_cell_angle_gamma 60.93
loop_
_space_group_symop_operation_xyz
'x,y,z'
loop_
_atom_site_label
_atom_site_fract_x
_atom_site_fract_y
_atom_site_fract_z
Li1 0.0000 0.0000 0.0000
Li2 0.4908 0.5231 0.4864
Pa1 0.7127 0.7270 0.8456
Co1 0.2127 0.2178 0.3574
O1 0.1090 0.8591 0.6162
O2 0.3345 0.5750 0.1343
O3 0.4179 0.1302 0.5995
O4 0.5776 0.9654 0.1370
O5 0.8507 0.4388 0.6062
O6 0.9900 0.3137 0.1415
```

Principal peaks in the range 10° ≤ 2θ ≤ 90°, in order of falling intensity:
two_theta  intensity  (hkl)
23.40  100  1 1 0
32.16  28  0 1 -1
20.47  23  0 1 0
52.32  14  1 2 -1
19.05  14  0 0 1
32.74  13  1 1 2
47.80  12  2 2 0
20.89  11  1 1 1
41.64  11  0 2 0
33.96  10  1 -1 0